(1)
For Ce3HoRu4, a DFT-relaxed cell (GGA-PBE, Alexandria) gives the computed powder diffractogram in this record (copper Kα).

Structure:
abc: 4.9319 4.9319 23.1822
angles: 90.00 90.00 120.00
Space group R-3m (No. 166, hexagonal axes)
Inequivalent atoms, fractional coordinates:
Ce 0.0000 0.0000 0.0000 x3
Ce 0.0000 0.0000 0.2486 x6
Ho 0.0000 0.0000 0.5000 x3
Ru 0.0000 0.0000 0.1247 x6
Ru 0.0000 0.0000 0.3710 x6

Main lines, sorted by position (10° ≤ 2θ ≤ 90°):
h k l  2θ/deg  Rel. int.
1 0 4  25.91  7
1 1 0  36.44  100
0 1 8  37.51  91
0 2 4  45.25  2
2 0 8  53.29  33
1 1 12  60.92  1
3 0 0  65.57  18
1 2 8  66.27  34
1 0 16  68.37  15
2 2 0  77.40  11
0 2 16  80.03  10
3 1 8  89.35  16

(2)
For Sr2SnI, a DFT-relaxed cell (GGA-PBE, Alexandria) gives the computed powder diffractogram in this record (copper Kα).

Structure:
abc: 4.6785 4.6785 25.6410
angles: 90.00 90.00 120.00
Space group R-3m (No. 166, hexagonal axes)
Inequivalent atoms, fractional coordinates:
Sr 0.0000 0.0000 0.2415 x6
Sn 0.0000 0.0000 0.5000 x3
I 0.0000 0.0000 0.0000 x3

Main lines, sorted by position (10° ≤ 2θ ≤ 90°):
h k l  2θ/deg  Rel. int.
1 0 4  26.02  100
0 1 8  35.72  41
1 1 0  38.48  36
0 0 12  42.30  8
0 2 4  47.04  20
2 0 8  53.51  13
1 1 12  58.50  18
2 1 4  62.33  24
1 2 8  67.83  14
3 0 0  69.61  6
3 0 12  84.95  6
1 3 4  88.28  12

(3)
For NdCoGeN, a DFT-relaxed cell (GGA-PBE, Alexandria) gives the computed powder diffractogram in this record (copper Kα).

Structure:
abc: 3.809 3.809 8.584
angles: 90.00 90.00 90.00
Space group P4/nmm (No. 129, origin choice 2)
Inequivalent atoms, fractional coordinates:
Nd 0.250 0.250 0.154 x2
Co 0.250 0.750 0.500 x2
Ge 0.250 0.250 0.651 x2
N 0.250 0.250 0.876 x2

Main lines, sorted by position (10° ≤ 2θ ≤ 90°):
h k l  2θ/deg  Rel. int.
0 0 3  31.26  13
1 0 2  31.40  100
1 1 0  33.26  34
1 1 1  34.91  25
1 1 2  39.50  27
2 0 0  47.75  36
1 0 4  48.70  16
1 1 4  54.69  32
2 1 2  58.26  44
2 2 0  69.84  11
2 1 4  70.59  10
3 0 2  78.55  11

(4)
For TlHg2Bi, a DFT-relaxed cell (GGA-PBE, Alexandria) gives the computed powder diffractogram in this record (copper Kα).

Structure:
abc: 3.5155 3.5155 32.5679
angles: 90.00 90.00 120.00
Space group R3m (No. 160, hexagonal axes)
Inequivalent atoms, fractional coordinates:
Tl 0.0000 0.0000 0.0000 x3
Hg 0.0000 0.0000 0.4136 x3
Hg 0.0000 0.0000 0.5826 x3
Bi 0.0000 0.0000 0.1623 x3

Main lines, sorted by position (10° ≤ 2θ ≤ 90°):
h k l  2θ/deg  Rel. int.
0 1 2  29.86  34
0 1 5  32.46  100
0 0 12  33.00  46
1 0 7  35.23  85
1 1 0  52.03  40
0 1 17  56.78  19
1 0 19  62.15  17
2 0 5  62.68  16
1 1 12  63.01  45
0 2 7  64.40  15
1 2 5  85.74  14
2 1 7  87.28  14

(5)
For Rb3CeBr8, a DFT-relaxed cell (GGA-PBE, Alexandria) gives the computed powder diffractogram in this record (copper Kα).

Structure:
abc: 7.840 7.840 15.648
angles: 90.00 90.00 90.00
Space group I4/mmm (No. 139)
Inequivalent atoms, fractional coordinates:
Rb 0.000 0.000 0.000 x2
Rb 0.000 0.500 0.250 x4
Ce 0.000 0.000 0.500 x2
Br 0.220 0.220 0.390 x16

Main lines, sorted by position (10° ≤ 2θ ≤ 90°):
h k l  2θ/deg  Rel. int.
0 0 2  11.31  6
1 0 1  12.63  15
1 1 2  19.63  41
0 0 4  22.70  6
2 0 4  32.32  100
3 1 2  38.10  20
3 2 1  41.95  7
4 0 0  46.32  10
0 0 8  46.42  5
3 3 2  50.80  11
2 2 8  57.64  26
4 0 8  67.65  7

(6)
For AcPu2ZnP4, a DFT-relaxed cell (GGA-PBE, Alexandria) gives the computed powder diffractogram in this record (copper Kα).

Structure:
abc: 4.075 13.473 13.450
angles: 90.00 90.00 90.00
Space group Cmcm (No. 63)
Inequivalent atoms, fractional coordinates:
Ac 0.000 0.114 0.250 x4
Pu 0.000 0.370 0.057 x8
Zn 0.000 0.152 0.750 x4
P 0.000 0.000 0.000 x4
P 0.000 0.264 0.614 x8
P 0.000 0.445 0.250 x4

Main lines, sorted by position (10° ≤ 2θ ≤ 90°):
h k l  2θ/deg  Rel. int.
0 2 3  23.83  79
0 4 0  26.44  100
1 3 1  30.36  34
1 3 2  32.52  55
0 2 5  35.93  11
1 1 5  40.74  27
1 5 2  42.41  19
2 0 0  44.47  17
0 6 3  45.15  48
2 2 3  51.08  18
2 4 0  52.51  16
2 6 3  65.25  12

(7)
For KEuHfTiO6, a DFT-relaxed cell (GGA-PBE, Alexandria) gives the computed powder diffractogram in this record (copper Kα).

Structure:
abc: 8.061 8.061 8.061
angles: 90.00 90.00 90.00
Space group F-43m (No. 216)
Inequivalent atoms, fractional coordinates:
K 0.000 0.000 0.000 x4
Eu 0.000 0.000 0.500 x4
Hf 0.250 0.250 0.750 x4
Ti 0.250 0.250 0.250 x4
O 0.006 0.250 0.250 x24

Main lines, sorted by position (10° ≤ 2θ ≤ 90°):
h k l  2θ/deg  Rel. int.
1 1 1  19.07  41
2 2 0  31.39  100
3 1 1  36.99  26
4 0 0  44.98  32
3 3 1  49.28  12
4 2 2  55.88  39
3 3 3  59.60  9
4 4 0  65.50  19
5 3 1  68.92  9
6 2 0  74.44  17
4 4 4  83.00  6
7 1 1  86.16  5

(8)
For Pr12Hg6Os, a DFT-relaxed cell (GGA-PBE, Alexandria) gives the computed powder diffractogram in this record (copper Kα).

Structure:
abc: 12.5061 12.5061 13.7313
angles: 90.00 90.00 120.00
Space group R-3 (No. 148, hexagonal axes)
Inequivalent atoms, fractional coordinates:
Pr 0.0386 0.1907 0.3891 x18
Pr 0.0403 0.8465 0.8764 x18
Hg 0.0062 0.4022 0.2573 x18
Os 0.0000 0.0000 0.0000 x3

Main lines, sorted by position (10° ≤ 2θ ≤ 90°):
h k l  2θ/deg  Rel. int.
0 1 2  15.28  21
1 1 3  24.10  17
1 0 4  27.25  31
4 -3 1  30.46  100
0 2 4  30.84  14
3 1 2  32.54  50
2 1 4  34.09  20
4 -2 3  34.75  64
1 2 5  39.51  20
3 2 4  45.04  15
4 -3 7  55.98  16
7 -1 5  65.98  22